Record 1
DySeClO3: simulated X-ray powder pattern (λ = 1.5418 Å (Cu Kα)), based on the GGA-PBE geometry in the Materials Project.
Kinematic intensities with the Lorentz-polarization factor, no thermal factor.

Cell lengths 7.2981, 7.0225, 8.8878 Å; angles 90.00, 90.00, 90.00 degrees
Positions (direct):
Dy (0.1053, 0.2500, 0.0390)
Dy (0.3947, 0.7500, 0.5390)
Dy (0.6053, 0.2500, 0.4610)
Dy (0.8947, 0.7500, 0.9610)
Se (0.2093, 0.2500, 0.6326)
Se (0.2907, 0.7500, 0.1326)
Se (0.7093, 0.2500, 0.8674)
Se (0.7907, 0.7500, 0.3674)
Cl (0.0571, 0.7500, 0.6820)
Cl (0.4429, 0.2500, 0.1820)
Cl (0.5571, 0.7500, 0.8180)
Cl (0.9429, 0.2500, 0.3180)
O (0.1416, 0.5727, 0.0672)
O (0.1416, 0.9273, 0.0672)
O (0.2483, 0.7500, 0.3208)
O (0.2517, 0.2500, 0.8208)
O (0.3584, 0.0727, 0.5672)
O (0.3584, 0.4273, 0.5672)
O (0.6416, 0.5727, 0.4328)
O (0.6416, 0.9273, 0.4328)
O (0.7483, 0.7500, 0.1792)
O (0.7517, 0.2500, 0.6792)
O (0.8584, 0.0727, 0.9328)
O (0.8584, 0.4273, 0.9328)

The 10 most intense peaks (2θ from 10° to 90°), low angle first:
2θ/deg	Rel. int.
15.7	100
20.0	32
23.4	60
25.4	93
27.5	48
29.4	37
32.6	29
34.3	44
40.5	47
41.8	33

Record 2
Fe3Pt: simulated X-ray powder pattern (λ = 1.5418 Å (Cu Kα)), based on the GGA-PBE geometry in the Materials Project.
Kinematic intensities with the Lorentz-polarization factor, no thermal factor.

Cell lengths 3.8267, 3.8267, 3.5933 Å; angles 90.00, 90.00, 90.00 degrees
Positions (direct):
Fe (0.0000, 0.0000, 0.0000)
Fe (0.0000, 0.5000, 0.5000)
Fe (0.5000, 0.0000, 0.5000)
Pt (0.5000, 0.5000, 0.0000)

The 10 most intense peaks (2θ from 10° to 90°), low angle first:
2θ/deg	Rel. int.
23.2	29
24.8	12
33.1	12
34.2	22
41.8	100
47.5	34
50.8	14
72.1	19
84.5	25
89.5	11

Record 3
CeZn3: simulated X-ray powder pattern (λ = 1.5418 Å (Cu Kα)), based on the GGA-PBE geometry in the Materials Project.
Kinematic intensities with the Lorentz-polarization factor, no thermal factor.

Cell lengths 5.6806, 5.6806, 6.5442 Å; angles 90.00, 90.00, 132.02 degrees
Positions (direct):
Ce (0.1017, 0.8983, 0.7500)
Ce (0.8983, 0.1017, 0.2500)
Zn (0.2001, 0.7999, 0.2500)
Zn (0.3809, 0.6191, 0.5562)
Zn (0.3809, 0.6191, 0.9438)
Zn (0.6191, 0.3809, 0.0562)
Zn (0.6191, 0.3809, 0.4438)
Zn (0.7999, 0.2001, 0.7500)

The 10 most intense peaks (2θ from 10° to 90°), low angle first:
2θ/deg	Rel. int.
34.6	31
34.7	100
35.2	95
37.3	17
39.0	50
42.8	36
45.1	26
53.1	18
61.1	19
67.9	28

Record 4
CaSiO3: simulated X-ray powder pattern (λ = 1.5418 Å (Cu Kα)), based on the GGA-PBE geometry in the Materials Project.
Kinematic intensities with the Lorentz-polarization factor, no thermal factor.

Cell lengths 6.2492, 6.2492, 6.2492 Å; angles 109.40, 109.40, 109.61 degrees
Positions (direct):
Ca (0.0000, 0.0000, 0.0000)
Ca (0.0000, 0.5000, 0.5000)
Ca (0.5000, 0.0000, 0.5000)
Ca (0.5000, 0.5000, 0.0000)
Si (0.0000, 0.0000, 0.5000)
Si (0.0000, 0.5000, 0.0000)
Si (0.5000, 0.0000, 0.0000)
Si (0.5000, 0.5000, 0.5000)
O (0.0111, 0.7609, 0.2502)
O (0.2391, 0.4893, 0.2502)
O (0.2391, 0.9889, 0.7498)
O (0.2608, 0.2608, 0.5217)
O (0.2608, 0.7392, 0.0000)
O (0.4893, 0.2391, 0.2502)
O (0.5107, 0.7609, 0.7498)
O (0.7392, 0.2608, 0.0000)
O (0.7392, 0.7392, 0.4783)
O (0.7609, 0.0111, 0.2502)
O (0.7609, 0.5107, 0.7498)
O (0.9889, 0.2391, 0.7498)

The 10 most intense peaks (2θ from 10° to 90°), low angle first:
2θ/deg	Rel. int.
24.7	1
35.2	100
43.4	44
50.6	50
50.7	24
63.1	37
74.3	13
74.4	26
84.9	11
85.2	5

Record 5
Na2B4O7: simulated X-ray powder pattern (λ = 1.5418 Å (Cu Kα)), based on the GGA-PBE geometry in the Materials Project.
Kinematic intensities with the Lorentz-polarization factor, no thermal factor.

Cell lengths 6.6212, 8.7669, 10.6445 Å; angles 93.29, 94.40, 90.85 degrees
Positions (direct):
Na (0.0218, 0.0420, 0.2714)
Na (0.0622, 0.5812, 0.6437)
Na (0.3270, 0.1588, 0.4807)
Na (0.3902, 0.3589, 0.8884)
Na (0.6098, 0.6411, 0.1116)
Na (0.6730, 0.8412, 0.5193)
Na (0.9378, 0.4188, 0.3563)
Na (0.9782, 0.9580, 0.7286)
B (0.1066, 0.3128, 0.0771)
B (0.1541, 0.7528, 0.0902)
B (0.1665, 0.7771, 0.4716)
B (0.2529, 0.7396, 0.8691)
B (0.3382, 0.5595, 0.3609)
B (0.3771, 0.8196, 0.2982)
B (0.4270, 0.3242, 0.2270)
B (0.4504, 0.9434, 0.7770)
B (0.5496, 0.0566, 0.2230)
B (0.5730, 0.6758, 0.7730)
B (0.6229, 0.1804, 0.7018)
B (0.6618, 0.4405, 0.6391)
B (0.7471, 0.2604, 0.1309)
B (0.8335, 0.2229, 0.5284)
B (0.8459, 0.2472, 0.9098)
B (0.8934, 0.6872, 0.9229)
O (0.0219, 0.8166, 0.5447)
O (0.0319, 0.7052, 0.8361)
O (0.0498, 0.2853, 0.9478)
O (0.1893, 0.8148, 0.2107)
O (0.1904, 0.6143, 0.4395)
O (0.2857, 0.9003, 0.8381)
O (0.3008, 0.7286, 0.0082)
O (0.3027, 0.3560, 0.1080)
O (0.3089, 0.8752, 0.4232)
O (0.3478, 0.4055, 0.3399)
O (0.3645, 0.6336, 0.7918)
O (0.4009, 0.1583, 0.2534)
O (0.4554, 0.0916, 0.7406)
O (0.4571, 0.6620, 0.3062)
O (0.5429, 0.3380, 0.6938)
O (0.5446, 0.9084, 0.2594)
O (0.5991, 0.8417, 0.7466)
O (0.6355, 0.3664, 0.2082)
O (0.6522, 0.5945, 0.6601)
O (0.6911, 0.1248, 0.5768)
O (0.6973, 0.6440, 0.8920)
O (0.6992, 0.2714, 0.9918)
O (0.7143, 0.0997, 0.1619)
O (0.8096, 0.3857, 0.5605)
O (0.8107, 0.1852, 0.7893)
O (0.9502, 0.7147, 0.0522)
O (0.9681, 0.2948, 0.1639)
O (0.9781, 0.1834, 0.4553)

The 10 most intense peaks (2θ from 10° to 90°), low angle first:
2θ/deg	Rel. int.
13.5	62
16.7	52
20.3	58
21.5	40
22.3	100
25.6	60
31.3	53
33.1	59
36.0	42
44.2	34

Record 6
BaH4O6: simulated X-ray powder pattern (λ = 1.5418 Å (Cu Kα)), based on the GGA-PBE geometry in the Materials Project.
Kinematic intensities with the Lorentz-polarization factor, no thermal factor.

Cell lengths 6.1325, 6.1325, 6.3844 Å; angles 93.09, 93.09, 93.90 degrees
Positions (direct):
Ba (0.1840, 0.8160, 0.7500)
Ba (0.8160, 0.1840, 0.2500)
H (0.0190, 0.6544, 0.2244)
H (0.2777, 0.3501, 0.0754)
H (0.3456, 0.9810, 0.2756)
H (0.3501, 0.2777, 0.5754)
H (0.6499, 0.7223, 0.4246)
H (0.6544, 0.0190, 0.7244)
H (0.7223, 0.6499, 0.9246)
H (0.9810, 0.3456, 0.7756)
O (0.0472, 0.2378, 0.6487)
O (0.0971, 0.5291, 0.0747)
O (0.2259, 0.3816, 0.5722)
O (0.2378, 0.0472, 0.1487)
O (0.3816, 0.2259, 0.0722)
O (0.4709, 0.9029, 0.4253)
O (0.5291, 0.0971, 0.5747)
O (0.6184, 0.7741, 0.9278)
O (0.7622, 0.9528, 0.8513)
O (0.7741, 0.6184, 0.4278)
O (0.9029, 0.4709, 0.9253)
O (0.9528, 0.7622, 0.3513)

The 10 most intense peaks (2θ from 10° to 90°), low angle first:
2θ/deg	Rel. int.
14.5	62
19.6	89
19.8	35
20.7	100
31.8	85
32.5	37
34.1	32
35.6	48
37.7	32
42.8	35

Record 7
CaYMg6: simulated X-ray powder pattern (λ = 1.5418 Å (Cu Kα)), based on the GGA-PBE geometry in the Materials Project.
Kinematic intensities with the Lorentz-polarization factor, no thermal factor.

Cell lengths 6.7403, 6.7403, 4.6301 Å; angles 90.00, 90.00, 90.00 degrees
Positions (direct):
Ca (0.0000, 0.0000, 0.0000)
Y (0.5000, 0.5000, 0.0000)
Mg (0.0000, 0.5000, 0.0000)
Mg (0.2558, 0.2558, 0.5000)
Mg (0.2558, 0.7442, 0.5000)
Mg (0.5000, 0.0000, 0.0000)
Mg (0.7442, 0.2558, 0.5000)
Mg (0.7442, 0.7442, 0.5000)

The 10 most intense peaks (2θ from 10° to 90°), low angle first:
2θ/deg	Rel. int.
13.1	14
18.6	17
26.8	14
32.9	100
37.7	34
38.9	16
54.5	11
55.3	21
65.1	25
66.7	12